# 1
Diffraction record for DyPa2Ni9. The X-ray diffraction stick pattern is computed, not measured: it uses a GGA-PBE-relaxed structure and a wavelength of 1.5418 Å.
Neutral-atom scattering factors, no anomalous dispersion.

Main lines, sorted by position (10° ≤ 2θ ≤ 90°):
| d (Å) | Position (°2θ) | I/Imax | index |
| --- | --- | --- | --- |
| 4.192 | 21.20 | 24.2 | 1 0 1 |
| 2.710 | 33.05 | 69.7 | 1 0 7 |
| 2.493 | 36.03 | 51.5 | 0 1 8 |
| 2.456 | 36.59 | 70.1 | 1 1 0 |
| 2.119 | 42.67 | 43.2 | 0 2 1 |
| 2.107 | 42.92 | 100.0 | 1 1 6 |
| 1.980 | 45.82 | 22.5 | 0 1 11 |
| 1.228 | 77.78 | 23.3 | 2 2 0 |

Structural model:
Lattice parameters (Å, degrees): 4.9118 4.9118 24.6144 90.00 90.00 120.00
Space group R-3m (No. 166, hexagonal axes)
Unique sites:
Dy: 0.0000 0.0000 0.0000
Pa: 0.0000 0.0000 0.1392
Ni: 0.0000 0.0000 0.3330
Ni: 0.0000 0.0000 0.5000
Ni: 0.0010 0.5005 0.9170

# 2
Diffraction record for NaCeCu2F8. The X-ray diffraction stick pattern is computed, not measured: it uses a GGA-PBE-relaxed structure and a wavelength of 1.5418 Å.
Neutral-atom scattering factors, no anomalous dispersion.

Main lines, sorted by position (10° ≤ 2θ ≤ 90°):
| d (Å) | Position (°2θ) | I/Imax | index |
| --- | --- | --- | --- |
| 5.426 | 16.34 | 16.7 | 0 0 2 |
| 4.909 | 18.07 | 27.8 | 1 0 1 |
| 3.163 | 28.21 | 100.0 | 1 1 2 |
| 2.752 | 32.53 | 15.7 | 2 0 0 |
| 1.946 | 46.67 | 18.7 | 2 2 0 |
| 1.932 | 47.03 | 30.2 | 2 0 4 |
| 1.658 | 55.43 | 36.6 | 1 3 2 |
| 1.640 | 56.07 | 16.8 | 1 1 6 |

Structural model:
Lattice parameters (Å, degrees): 5.505 5.505 10.853 90.00 90.00 90.00
Space group I-4 (No. 82)
Unique sites:
Na: 0.000 0.000 0.000
Ce: 0.000 0.500 0.250
Cu: 0.000 0.000 0.500
Cu: 0.000 0.500 0.750
F: 0.148 0.290 0.421
F: 0.173 0.784 0.818

# 3
Diffraction record for Pm12ThRu7. The X-ray diffraction stick pattern is computed, not measured: it uses a GGA-PBE-relaxed structure and a wavelength of 1.5418 Å.
Neutral-atom scattering factors, no anomalous dispersion.

Main lines, sorted by position (10° ≤ 2θ ≤ 90°):
| d (Å) | Position (°2θ) | I/Imax | index |
| --- | --- | --- | --- |
| 3.212 | 27.78 | 32.9 | 4 -3 1 |
| 2.811 | 31.83 | 100.0 | 3 1 2 |
| 2.021 | 44.86 | 35.5 | 4 -3 4 |
| 1.956 | 46.41 | 31.5 | 2 5 0 |
| 1.690 | 54.27 | 10.8 | 2 5 3 |
| 1.606 | 57.38 | 15.9 | 8 -6 2 |
| 1.274 | 74.50 | 13.1 | 2 5 6 |
| 1.241 | 76.79 | 12.1 | 5 6 2 |

Structural model:
Lattice parameters (Å, degrees): 14.1080 14.1080 10.0676 90.00 90.00 120.00
Space group R-3 (No. 148, hexagonal axes)
Unique sites:
Pm: 0.0269 0.5963 0.1827
Pm: 0.0526 0.1731 0.8254
Th: 0.0000 0.0000 0.5000
Ru: 0.0000 0.0000 0.0000
Ru: 0.0683 0.2017 0.3323

# 4
Diffraction record for Ti7Ga3Si. The X-ray diffraction stick pattern is computed, not measured: it uses a GGA-PBE-relaxed structure and a wavelength of 1.5418 Å.
Neutral-atom scattering factors, no anomalous dispersion.

Main lines, sorted by position (10° ≤ 2θ ≤ 90°):
| d (Å) | Position (°2θ) | I/Imax | index |
| --- | --- | --- | --- |
| 2.972 | 30.07 | 23.6 | 1 2 1 |
| 2.387 | 37.69 | 66.3 | 2 0 0 |
| 2.382 | 37.77 | 47.5 | 0 0 4 |
| 2.229 | 40.48 | 33.3 | 1 2 3 |
| 2.136 | 42.31 | 100.0 | 1 3 2 |
| 1.686 | 54.42 | 36.0 | 2 0 4 |
| 1.323 | 71.25 | 33.0 | 3 3 2 |
| 1.195 | 80.37 | 16.5 | 2 6 0 |

Structural model:
Lattice parameters (Å, degrees): 4.772 8.284 9.527 90.00 90.00 90.00
Space group Immm (No. 71)
Unique sites:
Ti: 0.000 0.000 0.000
Ti: 0.000 0.193 0.500
Ti: 0.000 0.333 0.241
Ga: 0.000 0.000 0.275
Ga: 0.000 0.500 0.000
Si: 0.000 0.500 0.500

# 5
Diffraction record for Ac2PmDy5. The X-ray diffraction stick pattern is computed, not measured: it uses a GGA-PBE-relaxed structure and a wavelength of 1.5418 Å.
Neutral-atom scattering factors, no anomalous dispersion.

Main lines, sorted by position (10° ≤ 2θ ≤ 90°):
| d (Å) | Position (°2θ) | I/Imax | index |
| --- | --- | --- | --- |
| 2.993 | 29.85 | 100.0 | 1 1 4 |
| 2.629 | 34.11 | 35.7 | 2 0 0 |
| 2.524 | 35.57 | 15.2 | 0 0 8 |
| 1.859 | 49.01 | 13.0 | 2 2 0 |
| 1.820 | 50.11 | 23.3 | 2 0 8 |
| 1.579 | 58.45 | 30.5 | 3 1 4 |
| 1.533 | 60.39 | 12.6 | 1 1 12 |
| 1.497 | 62.01 | 12.3 | 2 2 8 |

Structural model:
Lattice parameters (Å, degrees): 5.257 5.257 20.190 90.00 90.00 90.00
Space group I4/mmm (No. 139)
Unique sites:
Ac: 0.000 0.000 0.250
Pm: 0.000 0.000 0.000
Dy: 0.000 0.000 0.500
Dy: 0.000 0.500 0.119

# 6
Diffraction record for Ce2ErCd5. The X-ray diffraction stick pattern is computed, not measured: it uses a GGA-PBE-relaxed structure and a wavelength of 1.5418 Å.
Neutral-atom scattering factors, no anomalous dispersion.

Main lines, sorted by position (10° ≤ 2θ ≤ 90°):
| d (Å) | Position (°2θ) | I/Imax | index |
| --- | --- | --- | --- |
| 2.667 | 33.61 | 100.0 | 1 1 4 |
| 2.442 | 36.80 | 40.7 | 2 0 0 |
| 2.098 | 43.11 | 10.9 | 0 0 8 |
| 1.727 | 53.03 | 13.9 | 2 2 0 |
| 1.591 | 57.95 | 17.8 | 2 0 8 |
| 1.449 | 64.26 | 29.4 | 3 1 4 |
| 1.333 | 70.65 | 9.7 | 2 2 8 |
| 1.296 | 72.97 | 7.0 | 1 1 12 |

Structural model:
Lattice parameters (Å, degrees): 4.884 4.884 16.785 90.00 90.00 90.00
Space group I4/mmm (No. 139)
Unique sites:
Ce: 0.000 0.000 0.241
Er: 0.000 0.000 0.500
Cd: 0.000 0.000 0.000
Cd: 0.000 0.500 0.115

# 7
Diffraction record for Nd3AuS. The X-ray diffraction stick pattern is computed, not measured: it uses a GGA-PBE-relaxed structure and a wavelength of 1.5418 Å.
Neutral-atom scattering factors, no anomalous dispersion.

Main lines, sorted by position (10° ≤ 2θ ≤ 90°):
| d (Å) | Position (°2θ) | I/Imax | index |
| --- | --- | --- | --- |
| 2.985 | 29.93 | 80.3 | 3 0 1 |
| 2.951 | 30.29 | 64.0 | 2 1 1 |
| 2.934 | 30.47 | 51.3 | 1 0 5 |
| 2.801 | 31.95 | 100.0 | 2 1 2 |
| 2.658 | 33.72 | 31.0 | 1 1 4 |
| 2.363 | 38.08 | 24.2 | 1 1 5 |
| 1.994 | 45.50 | 36.6 | 0 2 0 |
| 1.649 | 55.73 | 18.9 | 1 2 5 |

Structural model:
Lattice parameters (Å, degrees): 9.136 3.989 15.488 90.00 90.00 90.00
Space group Pnma (No. 62)
Unique sites:
Nd: 0.008 0.250 0.106
Nd: 0.158 0.250 0.549
Nd: 0.176 0.750 0.292
Au: 0.101 0.750 0.697
S: 0.186 0.250 0.955

# 8
Diffraction record for SbICl3. The X-ray diffraction stick pattern is computed, not measured: it uses a GGA-PBE-relaxed structure and a wavelength of 1.5418 Å.
Neutral-atom scattering factors, no anomalous dispersion.

Main lines, sorted by position (10° ≤ 2θ ≤ 90°):
| d (Å) | Position (°2θ) | I/Imax | index |
| --- | --- | --- | --- |
| 6.361 | 13.92 | 15.1 | 0 1 1 |
| 5.099 | 17.39 | 100.0 | 1 1 1 |
| 4.265 | 20.83 | 23.2 | 2 0 0 |
| 3.541 | 25.15 | 34.1 | 0 0 2 |
| 3.350 | 26.61 | 16.3 | 1 4 0 |
| 2.694 | 33.26 | 15.7 | 0 5 1 |
| 2.596 | 34.55 | 14.1 | 3 1 1 |
| 2.431 | 36.98 | 16.5 | 1 4 2 |

Structural model:
Lattice parameters (Å, degrees): 8.530 14.569 7.071 90.00 90.00 90.00
Space group Ama2 (No. 40)
Unique sites:
Sb: 0.250 0.224 0.000
I: 0.250 0.418 0.087
Cl: 0.041 0.171 0.193
Cl: 0.250 0.095 0.770

# 9
Diffraction record for Sc3AsS2. The X-ray diffraction stick pattern is computed, not measured: it uses a GGA-PBE-relaxed structure and a wavelength of 1.5418 Å.
Neutral-atom scattering factors, no anomalous dispersion.

Main lines, sorted by position (10° ≤ 2θ ≤ 90°):
| d (Å) | Position (°2θ) | I/Imax | index |
| --- | --- | --- | --- |
| 4.810 | 18.44 | 6.3 | 0 1 1 |
| 2.657 | 33.74 | 100.0 | 1 0 3 |
| 1.879 | 48.44 | 55.4 | 1 2 3 |
| 1.876 | 48.53 | 11.0 | 2 0 0 |
| 1.534 | 60.34 | 21.9 | 2 2 0 |
| 1.328 | 70.98 | 6.6 | 2 0 6 |
| 1.189 | 80.85 | 9.4 | 1 4 3 |
| 1.188 | 80.90 | 13.6 | 2 2 6 |

Structural model:
Lattice parameters (Å, degrees): 3.752 5.318 11.279 90.00 90.00 90.00
Space group Immm (No. 71)
Unique sites:
Sc: 0.000 0.000 0.000
Sc: 0.000 0.000 0.331
As: 0.000 0.500 0.000
S: 0.000 0.500 0.334